Entry 1:
This entry pairs a crystal structure of SmTm2Al4 with its computed powder X-ray diffraction pattern. Radiation: CuKα. Structure: a PBE-relaxed structure.
Intensities are scaled so that the largest is 100.

Most intense lines, 2θ from 10° to 90°, by intensity:
2.709 Å, I = 100; 3.715 Å, I = 73; 2.651 Å, I = 62; 2.377 Å, I = 40; 1.720 Å, I = 34; 2.260 Å, I = 25

Crystal structure
Unit cell a=3.606 b=4.521 c=19.556 alpha=90.00 beta=90.00 gamma=90.00
Fractional coordinates of all 14 atoms:
Sm  0.000  0.000  0.000
Sm  0.500  0.500  0.500
Tm  0.000  0.500  0.196
Tm  0.000  0.500  0.804
Tm  0.500  0.000  0.304
Tm  0.500  0.000  0.696
Al  0.000  0.000  0.432
Al  0.000  0.000  0.568
Al  0.000  0.500  0.358
Al  0.000  0.500  0.642
Al  0.500  0.000  0.142
Al  0.500  0.000  0.858
Al  0.500  0.500  0.068
Al  0.500  0.500  0.932



Entry 2:
This entry pairs a crystal structure of Sm9Tm4Al11 with its computed powder X-ray diffraction pattern. Radiation: CuKα. Structure: a PBE-relaxed structure.
Intensities are scaled so that the largest is 100.

Most intense lines, 2θ from 10° to 90°, by intensity:
3.440 Å, I = 100; 2.690 Å, I = 96; 2.512 Å, I = 92; 2.593 Å, I = 81; 3.677 Å, I = 71; 2.119 Å, I = 57

Crystal structure
Unit cell a=13.563 b=13.563 c=3.440 alpha=90.00 beta=90.00 gamma=108.82
Fractional coordinates of all 24 atoms:
Sm  0.000  0.000  0.000
Sm  0.118  0.655  0.000
Sm  0.294  0.477  0.000
Sm  0.345  0.882  0.000
Sm  0.477  0.294  0.000
Sm  0.523  0.706  0.000
Sm  0.655  0.118  0.000
Sm  0.706  0.523  0.000
Sm  0.882  0.345  0.000
Tm  0.083  0.254  0.000
Tm  0.254  0.083  0.000
Tm  0.746  0.917  0.000
Tm  0.917  0.746  0.000
Al  0.083  0.449  0.500
Al  0.124  0.876  0.500
Al  0.278  0.278  0.500
Al  0.319  0.681  0.500
Al  0.449  0.083  0.500
Al  0.500  0.500  0.500
Al  0.551  0.917  0.500
Al  0.681  0.319  0.500
Al  0.722  0.722  0.500
Al  0.876  0.124  0.500
Al  0.917  0.551  0.500



Entry 3:
This entry pairs a crystal structure of Sm4Tm9Al11 with its computed powder X-ray diffraction pattern. Radiation: CuKα. Structure: a PBE-relaxed structure.
Intensities are scaled so that the largest is 100.

Most intense lines, 2θ from 10° to 90°, by intensity:
3.319 Å, I = 100; 2.629 Å, I = 82; 2.531 Å, I = 80; 2.241 Å, I = 74; 2.482 Å, I = 62; 4.306 Å, I = 59

Crystal structure
Unit cell a=13.585 b=13.585 c=3.319 alpha=90.00 beta=90.00 gamma=111.33
Fractional coordinates of all 24 atoms:
Sm  0.099  0.262  0.000
Sm  0.262  0.099  0.000
Sm  0.738  0.901  0.000
Sm  0.901  0.738  0.000
Tm  0.000  0.000  0.000
Tm  0.110  0.667  0.000
Tm  0.295  0.494  0.000
Tm  0.333  0.890  0.000
Tm  0.494  0.295  0.000
Tm  0.506  0.705  0.000
Tm  0.667  0.110  0.000
Tm  0.705  0.506  0.000
Tm  0.890  0.333  0.000
Al  0.088  0.466  0.500
Al  0.121  0.879  0.500
Al  0.309  0.691  0.500
Al  0.312  0.312  0.500
Al  0.466  0.088  0.500
Al  0.500  0.500  0.500
Al  0.534  0.912  0.500
Al  0.688  0.688  0.500
Al  0.691  0.309  0.500
Al  0.879  0.121  0.500
Al  0.912  0.534  0.500



Entry 4:
This entry pairs a crystal structure of Sm12Tm3Al with its computed powder X-ray diffraction pattern. Radiation: CuKα. Structure: a PBE-relaxed structure.
Intensities are scaled so that the largest is 100.

Most intense lines, 2θ from 10° to 90°, by intensity:
2.901 Å, I = 100; 2.503 Å, I = 34; 1.511 Å, I = 28; 1.780 Å, I = 23; 2.533 Å, I = 16; 1.524 Å, I = 13

Crystal structure
Unit cell a=5.005 b=5.005 c=20.264 alpha=90.00 beta=90.00 gamma=90.00
Fractional coordinates of all 16 atoms:
Sm  0.000  0.000  0.000
Sm  0.000  0.000  0.245
Sm  0.000  0.000  0.500
Sm  0.000  0.000  0.755
Sm  0.000  0.500  0.118
Sm  0.000  0.500  0.373
Sm  0.000  0.500  0.627
Sm  0.000  0.500  0.882
Sm  0.500  0.000  0.118
Sm  0.500  0.000  0.373
Sm  0.500  0.000  0.627
Sm  0.500  0.000  0.882
Tm  0.500  0.500  0.247
Tm  0.500  0.500  0.500
Tm  0.500  0.500  0.753
Al  0.500  0.500  0.000



Entry 5:
This entry pairs a crystal structure of SmTm2Al2Zn2 with its computed powder X-ray diffraction pattern. Radiation: CuKα. Structure: a PBE-relaxed structure.
Intensities are scaled so that the largest is 100.

Most intense lines, 2θ from 10° to 90°, by intensity:
2.258 Å, I = 100; 2.748 Å, I = 99; 2.557 Å, I = 90; 3.871 Å, I = 60; 1.409 Å, I = 38; 3.386 Å, I = 36

Crystal structure
Unit cell a=9.381 b=9.381 c=9.381 alpha=27.86 beta=27.86 gamma=27.86
Fractional coordinates of all 7 atoms:
Sm  0.000  0.000  0.000
Tm  0.129  0.129  0.129
Tm  0.871  0.871  0.871
Al  0.259  0.259  0.259
Al  0.741  0.741  0.741
Zn  0.404  0.404  0.404
Zn  0.596  0.596  0.596